# PrTmPu2Sb4
Simulated powder diffractogram, Cu Kα (weighted mean of Kα1 and Kα2). Input: a DFT-relaxed cell (PBE, Alexandria).
Kinematic intensities with the Lorentz-polarization factor, no thermal factor.

Principal peaks in the range 2θ from 10° to 90°, low angle first:
(hkl), 2theta, I/Imax
0 0 2, 24.57, 100
1 1 1, 28.44, 1000
0 2 0, 40.61, 386
3 1 -1, 40.71, 384
2 2 -2, 50.33, 208
4 0 0, 50.50, 69
2 2 2, 58.86, 130
1 3 1, 66.57, 179
4 2 0, 66.72, 178
3 3 -1, 73.93, 155

Structure:
```
data_PrTmPu2Sb4
_cell_length_a 7.671
_cell_length_b 4.445
_cell_length_c 7.693
_cell_angle_alpha 90.00
_cell_angle_beta 109.54
_cell_angle_gamma 90.00
_space_group_name_H-M_alt 'P 1 2/m 1'
_space_group_IT_number 10
loop_
_space_group_symop_operation_xyz
'x,y,z'
'-x,-y,-z'
'-x,y,-z'
'x,-y,z'
loop_
_atom_site_label
_atom_site_fract_x
_atom_site_fract_y
_atom_site_fract_z
Pr1 0.000 0.000 0.000
Tm1 0.000 0.500 0.500
Pu1 0.500 0.000 0.500
Pu2 0.500 0.500 0.000
Sb1 0.251 0.000 0.743
Sb2 0.256 0.500 0.259
```


# Sm8Tl2Hg3
Simulated powder diffractogram, Cu Kα (weighted mean of Kα1 and Kα2). Input: a DFT-relaxed cell (PBE, Alexandria).
Kinematic intensities with the Lorentz-polarization factor, no thermal factor.

Principal peaks in the range 2θ from 10° to 90°, low angle first:
(hkl), 2theta, I/Imax
2 2 0, 22.70, 195
3 1 0, 30.49, 265
0 0 2, 31.95, 529
1 5 1, 33.42, 651
2 4 1, 33.84, 1000
3 3 1, 38.01, 147
3 1 2, 44.75, 188
2 4 3, 58.16, 213
5 5 1, 61.44, 217
3 9 2, 69.51, 165

Structure:
```
data_Sm8Tl2Hg3
_cell_length_a 8.944
_cell_length_b 16.247
_cell_length_c 5.602
_cell_angle_alpha 90.00
_cell_angle_beta 90.00
_cell_angle_gamma 90.00
_space_group_name_H-M_alt 'C m m m'
_space_group_IT_number 65
_space_group_name_Hall '-C 2 2'
loop_
_atom_site_label
_atom_site_fract_x
_atom_site_fract_y
_atom_site_fract_z
Sm1 0.000 0.105 0.000
Sm2 0.000 0.321 0.000
Sm3 0.215 0.387 0.500
Tl1 0.000 0.227 0.500
Hg1 0.000 0.000 0.500
Hg2 0.177 0.500 0.000
```


# LiTm12Co6
Simulated powder diffractogram, Cu Kα (weighted mean of Kα1 and Kα2). Input: a DFT-relaxed cell (PBE, Alexandria).
Kinematic intensities with the Lorentz-polarization factor, no thermal factor.

Principal peaks in the range 2θ from 10° to 90°, low angle first:
(hkl), 2theta, I/Imax
2 2 0, 26.41, 180
3 0 1, 29.59, 503
2 2 2, 32.49, 506
3 1 2, 35.18, 1000
4 0 0, 37.69, 183
5 0 1, 48.64, 226
5 3 0, 56.19, 406
5 2 3, 59.71, 392
5 3 4, 69.65, 192
7 0 5, 88.01, 205

Structure:
```
data_LiTm12Co6
_cell_length_a 9.546
_cell_length_b 9.546
_cell_length_c 9.546
_cell_angle_alpha 90.00
_cell_angle_beta 90.00
_cell_angle_gamma 90.00
_space_group_name_H-M_alt 'I m -3'
_space_group_IT_number 204
_space_group_name_Hall '-I 2 2 3'
loop_
_atom_site_label
_atom_site_fract_x
_atom_site_fract_y
_atom_site_fract_z
Li1 0.000 0.000 0.000
Tm1 0.000 0.305 0.195
Co1 0.000 0.114 0.500
```


# Tb2AlGa8
Simulated powder diffractogram, Cu Kα (weighted mean of Kα1 and Kα2). Input: a DFT-relaxed cell (PBE, Alexandria).
Kinematic intensities with the Lorentz-polarization factor, no thermal factor.

Principal peaks in the range 2θ from 10° to 90°, low angle first:
(hkl), 2theta, I/Imax
1 0 0, 20.11, 139
1 1 1, 29.71, 119
1 1 2, 32.85, 408
1 1 3, 37.56, 1000
0 0 5, 40.29, 165
2 0 0, 40.88, 508
2 0 5, 58.74, 214
2 2 0, 59.19, 167
3 1 3, 72.25, 283
1 1 8, 74.28, 147

Structure:
```
data_Tb2AlGa8
_cell_length_a 4.415
_cell_length_b 4.415
_cell_length_c 11.193
_cell_angle_alpha 90.00
_cell_angle_beta 90.00
_cell_angle_gamma 90.00
_space_group_name_H-M_alt 'P 4/m m m'
_space_group_IT_number 123
_space_group_name_Hall '-P 4 2'
loop_
_atom_site_label
_atom_site_fract_x
_atom_site_fract_y
_atom_site_fract_z
Tb1 0.000 0.000 0.189
Al1 0.000 0.000 0.500
Ga1 0.000 0.500 0.000
Ga2 0.000 0.500 0.372
Ga3 0.500 0.500 0.184
```